# 1
This entry pairs a crystal structure of CeGe5 with its simulated XRD peak list. Radiation: λ = 1.5418 Å (Cu Kα). Structure: a crystal structure in the Materials Project, relaxed with GGA-PBE.
Neutral-atom scattering factors, no anomalous dispersion.

Cell and atoms:
```
CeGe5
1.0
-2.0016 3.0860 4.9306
2.0016 -3.0860 4.9306
2.0016 3.0860 -4.9306
Ce Ge
1 5
direct
0.0000 0.0000 0.0000
0.1218 0.3307 0.7911
0.4603 0.6693 0.7911
0.5000 0.0000 0.5000
0.5397 0.3307 0.2089
0.8782 0.6693 0.2089
```

Most intense lines, 10° ≤ 2θ ≤ 90°, by intensity:
2.540 Å, I = 100.0; 2.372 Å, I = 72.3; 2.616 Å, I = 50.8; 2.002 Å, I = 24.7; 1.590 Å, I = 22.0; 1.535 Å, I = 20.7; 1.926 Å, I = 18.0; 3.359 Å, I = 15.7; 1.644 Å, I = 13.0; 1.319 Å, I = 12.7

# 2
This entry pairs a crystal structure of Na3SiBSbO7 with its simulated XRD peak list. Radiation: λ = 1.5418 Å (Cu Kα). Structure: a crystal structure in the Materials Project, relaxed with GGA-PBE.
Neutral-atom scattering factors, no anomalous dispersion.

Cell and atoms:
```
Na3SiBSbO7
1.0
5.3246 0.0000 0.0000
0.0000 6.8400 0.0000
-0.0941 0.0000 9.1875
Na Si B Sb O
6 2 2 2 14
direct
0.2405 0.2500 0.4237
0.2535 0.5076 0.7492
0.2535 0.9924 0.7492
0.7465 0.0076 0.2508
0.7465 0.4924 0.2508
0.7595 0.7500 0.5763
0.2930 0.2500 0.0827
0.7070 0.7500 0.9173
0.2673 0.7500 0.4408
0.7327 0.2500 0.5592
0.2168 0.7500 0.1582
0.7832 0.2500 0.8418
0.0351 0.7500 0.3630
0.1613 0.2500 0.9191
0.2063 0.0618 0.1840
0.2063 0.4382 0.1840
0.2872 0.7500 0.5857
0.3983 0.7500 0.9366
0.4756 0.7500 0.3460
0.5244 0.2500 0.6540
0.6017 0.2500 0.0634
0.7128 0.2500 0.4143
0.7937 0.5618 0.8160
0.7937 0.9382 0.8160
0.8387 0.7500 0.0809
0.9649 0.2500 0.6370
```

Most intense lines, 10° ≤ 2θ ≤ 90°, by intensity:
5.486 Å, I = 100.0; 3.420 Å, I = 88.4; 2.662 Å, I = 63.3; 2.749 Å, I = 63.1; 4.589 Å, I = 55.3; 4.201 Å, I = 51.4; 4.627 Å, I = 50.3; 3.812 Å, I = 48.9; 2.742 Å, I = 48.1; 3.461 Å, I = 47.4

# 3
This entry pairs a crystal structure of SmGe2Pt2 with its simulated XRD peak list. Radiation: λ = 1.5418 Å (Cu Kα). Structure: a crystal structure in the Materials Project, relaxed with GGA-PBE.
Neutral-atom scattering factors, no anomalous dispersion.

Cell and atoms:
```
SmGe2Pt2
1.0
4.3762 0.0000 0.0000
0.0000 10.0276 0.0000
0.0000 0.0000 4.3628
Sm Ge Pt
2 4 4
direct
0.0000 0.2470 0.0000
0.5000 0.7530 0.5000
0.0000 0.0018 0.5194
0.0000 0.6320 0.9738
0.5000 0.3680 0.4738
0.5000 0.9982 0.0194
0.0000 0.5022 0.4717
0.0000 0.8760 0.0198
0.5000 0.1240 0.5198
0.5000 0.4978 0.9717
```

Most intense lines, 10° ≤ 2θ ≤ 90°, by intensity:
2.630 Å, I = 100.0; 2.655 Å, I = 65.0; 2.188 Å, I = 39.7; 2.181 Å, I = 36.6; 1.947 Å, I = 34.1; 1.687 Å, I = 32.9; 2.953 Å, I = 31.6; 1.823 Å, I = 25.9; 1.545 Å, I = 24.8; 1.400 Å, I = 18.8

# 4
This entry pairs a crystal structure of Pr3HfSb5 with its simulated XRD peak list. Radiation: λ = 1.5418 Å (Cu Kα). Structure: a crystal structure in the Materials Project, relaxed with GGA-PBE.
Neutral-atom scattering factors, no anomalous dispersion.

Cell and atoms:
```
Pr3HfSb5
1.0
9.5504 0.0000 0.0000
-4.7752 8.2709 0.0000
0.0000 0.0000 6.3762
Pr Hf Sb
6 2 10
direct
0.0000 0.3829 0.2500
0.0000 0.6171 0.7500
0.3829 0.0000 0.2500
0.3829 0.3829 0.7500
0.6171 0.0000 0.7500
0.6171 0.6171 0.2500
0.0000 0.0000 0.0000
0.0000 0.0000 0.5000
0.0000 0.2605 0.7500
0.0000 0.7395 0.2500
0.2605 0.0000 0.7500
0.2605 0.2605 0.2500
0.3333 0.6667 0.0000
0.3333 0.6667 0.5000
0.6667 0.3333 0.0000
0.6667 0.3333 0.5000
0.7395 0.0000 0.2500
0.7395 0.7395 0.7500
```

Most intense lines, 10° ≤ 2θ ≤ 90°, by intensity:
2.651 Å, I = 100.0; 2.757 Å, I = 79.7; 2.807 Å, I = 61.1; 1.911 Å, I = 28.8; 1.380 Å, I = 20.3; 1.571 Å, I = 16.0; 1.758 Å, I = 15.2; 2.158 Å, I = 14.0; 1.593 Å, I = 13.5; 8.271 Å, I = 10.6

# 5
This entry pairs a crystal structure of LiAgF6 with its simulated XRD peak list. Radiation: λ = 1.5418 Å (Cu Kα). Structure: a crystal structure in the Materials Project, relaxed with GGA-PBE.
Neutral-atom scattering factors, no anomalous dispersion.

Cell and atoms:
```
LiAgF6
1.0
-4.6750 4.6750 4.6750
4.6750 -4.6750 4.6750
4.6750 4.6750 -4.6750
Li Ag F
4 4 24
direct
0.0000 0.0000 0.0000
0.0000 0.5000 0.5000
0.5000 0.0000 0.5000
0.5000 0.5000 0.0000
0.0000 0.0000 0.5000
0.0000 0.5000 0.0000
0.5000 0.0000 0.0000
0.5000 0.5000 0.5000
0.0277 0.9438 0.7219
0.0562 0.2781 0.9723
0.0840 0.5277 0.8059
0.1941 0.9160 0.4723
0.2219 0.2781 0.6941
0.2219 0.4438 0.4160
0.2781 0.6941 0.2219
0.2781 0.9723 0.0562
0.3059 0.7781 0.7219
0.4160 0.2219 0.4438
0.4438 0.4160 0.2219
0.4723 0.1941 0.9160
0.5277 0.8059 0.0840
0.5562 0.5840 0.7781
0.5840 0.7781 0.5562
0.6941 0.2219 0.2781
0.7219 0.0277 0.9438
0.7219 0.3059 0.7781
0.7781 0.5562 0.5840
0.7781 0.7219 0.3059
0.8059 0.0840 0.5277
0.9160 0.4723 0.1941
0.9438 0.7219 0.0277
0.9723 0.0562 0.2781
```

Most intense lines, 10° ≤ 2θ ≤ 90°, by intensity:
4.675 Å, I = 100.0; 3.306 Å, I = 70.2; 1.909 Å, I = 38.2; 2.091 Å, I = 28.4; 2.699 Å, I = 26.6; 1.558 Å, I = 21.5; 1.653 Å, I = 17.7; 1.478 Å, I = 17.5; 1.249 Å, I = 12.4; 1.410 Å, I = 9.7

# 6
This entry pairs a crystal structure of Mn3Bi with its simulated XRD peak list. Radiation: λ = 1.5418 Å (Cu Kα). Structure: a crystal structure in the Materials Project, relaxed with GGA-PBE.
Neutral-atom scattering factors, no anomalous dispersion.

Cell and atoms:
```
Mn3Bi
1.0
9.3333 5.3886 1.0325
-9.3333 5.3886 1.0325
0.0000 -10.7772 1.0325
Mn Bi
12 4
direct
0.0000 0.2324 0.7676
0.0000 0.7676 0.2324
0.2324 0.0000 0.7676
0.2324 0.7676 0.0000
0.3756 0.3756 0.6235
0.3756 0.6235 0.3756
0.3765 0.6244 0.6244
0.6235 0.3756 0.3756
0.6244 0.3765 0.6244
0.6244 0.6244 0.3765
0.7676 0.0000 0.2324
0.7676 0.2324 0.0000
0.0000 0.0000 0.0000
0.0000 0.5000 0.5000
0.5000 0.0000 0.5000
0.5000 0.5000 0.0000
```

Most intense lines, 10° ≤ 2θ ≤ 90°, by intensity:
2.458 Å, I = 100.0; 2.333 Å, I = 93.2; 4.667 Å, I = 88.9; 2.892 Å, I = 32.8; 2.175 Å, I = 32.6; 1.692 Å, I = 28.9; 2.694 Å, I = 28.4; 1.370 Å, I = 26.2; 1.816 Å, I = 17.2; 1.764 Å, I = 16.2

# 7
This entry pairs a crystal structure of BaTh2S5 with its simulated XRD peak list. Radiation: λ = 1.5418 Å (Cu Kα). Structure: a crystal structure in the Materials Project, relaxed with GGA-PBE.
Neutral-atom scattering factors, no anomalous dispersion.

Cell and atoms:
```
BaTh2S5
1.0
8.6742 0.0000 0.0000
0.0000 7.6954 0.0000
-0.0627 0.0000 12.1682
Ba Th S
4 8 20
direct
0.0094 0.0510 0.3315
0.0094 0.4490 0.8315
0.9906 0.5510 0.1685
0.9906 0.9490 0.6685
0.2529 0.5693 0.4911
0.2529 0.9307 0.9911
0.4981 0.5211 0.1788
0.4981 0.9789 0.6788
0.5019 0.0211 0.3212
0.5019 0.4789 0.8212
0.7471 0.0693 0.0089
0.7471 0.4307 0.5089
0.0366 0.1750 0.0771
0.0366 0.3250 0.5771
0.2741 0.6911 0.7159
0.2741 0.8089 0.2159
0.2849 0.1651 0.8123
0.2849 0.3349 0.3123
0.2896 0.5485 0.9981
0.2896 0.9515 0.4981
0.4594 0.1606 0.1005
0.4594 0.3394 0.6005
0.5406 0.6606 0.3995
0.5406 0.8394 0.8995
0.7104 0.0485 0.5019
0.7104 0.4515 0.0019
0.7151 0.6651 0.6877
0.7151 0.8349 0.1877
0.7259 0.1911 0.7841
0.7259 0.3089 0.2841
0.9634 0.6750 0.4229
0.9634 0.8250 0.9229
```

Most intense lines, 10° ≤ 2θ ≤ 90°, by intensity:
3.588 Å, I = 100.0; 3.608 Å, I = 86.3; 3.848 Å, I = 44.5; 2.169 Å, I = 34.7; 3.522 Å, I = 33.6; 2.605 Å, I = 33.2; 3.540 Å, I = 32.7; 2.598 Å, I = 28.1; 2.050 Å, I = 21.5; 8.674 Å, I = 20.8